V6Ga5: simulated PXRD pattern (copper Kα), based on the PBE geometry in Alexandria.
Kinematic intensities with the Lorentz-polarization factor, no thermal factor.

The 8 most intense peaks (2θ = 5–70°), in order of rising 2θ:
d [Å]  Position (°2θ)  Rel. int.  index
2.982  29.96  10  2 0 1
2.772  32.29  15  2 1 0
2.438  36.86  27  2 1 1
2.207  40.90  27  3 0 1
2.117  42.70  82  2 2 0
2.100  43.07  100  2 0 2
1.891  48.12  9  3 1 1
1.491  62.26  18  4 0 2

Crystal structure
```
data_V6Ga5
_cell_length_a 8.4700
_cell_length_b 8.4700
_cell_length_c 5.1232
_cell_angle_alpha 90.00
_cell_angle_beta 90.00
_cell_angle_gamma 120.00
_space_group_name_H-M_alt 'P 63/m m c'
_space_group_IT_number 194
_space_group_name_Hall '-P 6c 2c'
loop_
_atom_site_label
_atom_site_fract_x
_atom_site_fract_y
_atom_site_fract_z
_atom_site_occupancy
V1 0.0000 0.5000 0.0000 1
V2 0.1562 0.3125 0.2500 1
Ga1 0.0000 0.0000 0.0000 1
Ga2 0.2035 0.4071 0.7500 1
Ga3 0.3333 0.6667 0.2500 1
```